The following is a computed powder diffractogram of PaGa2Cl6. It was derived from a crystal structure in Alexandria, relaxed with GGA-PBE, using Cu Kα (weighted mean of Kα1 and Kα2).

Main lines, in order of rising 2θ (2θ from 5° to 70°):
14.06 deg, 6.301 Å, intensity 100; 16.24 deg, 5.456 Å, intensity 15; 23.05 deg, 3.858 Å, intensity 45; 27.10 deg, 3.290 Å, intensity 54; 32.83 deg, 2.728 Å, intensity 18; 35.87 deg, 2.504 Å, intensity 31; 36.83 deg, 2.440 Å, intensity 26; 40.50 deg, 2.228 Å, intensity 33; 43.07 deg, 2.100 Å, intensity 28; 49.41 deg, 1.845 Å, intensity 22

Structural model:
Cell lengths 7.7162, 7.7162, 7.7162 Å; angles 60.00, 60.00, 60.00 degrees
Fractional positions:
Pa 0.0000 0.0000 0.0000
Ga 0.2041 0.2041 0.2041
Ga 0.7959 0.7959 0.7959
Cl 0.1155 0.3424 0.8001
Cl 0.1999 0.8845 0.6576
Cl 0.3424 0.8001 0.1155
Cl 0.6576 0.1999 0.8845
Cl 0.8001 0.1155 0.3424
Cl 0.8845 0.6576 0.1999

The following is a computed powder diffractogram of Ga2PbCl8. It was derived from a crystal structure in Alexandria, relaxed with GGA-PBE, using Cu Kα (weighted mean of Kα1 and Kα2).

Main lines, in order of rising 2θ (2θ from 5° to 70°):
11.79 deg, 7.504 Å, intensity 100; 12.38 deg, 7.147 Å, intensity 90; 17.54 deg, 5.055 Å, intensity 67; 18.71 deg, 4.743 Å, intensity 89; 19.17 deg, 4.630 Å, intensity 27; 21.20 deg, 4.192 Å, intensity 33; 24.89 deg, 3.577 Å, intensity 54; 27.95 deg, 3.193 Å, intensity 57; 28.83 deg, 3.097 Å, intensity 30; 43.16 deg, 2.096 Å, intensity 40

Structural model:
Cell lengths 10.3566, 10.3566, 12.2392 Å; angles 125.83, 125.83, 50.38 degrees
Fractional positions:
Ga 0.1381 0.6674 0.9569
Ga 0.3326 0.8619 0.5431
Ga 0.6674 0.1381 0.4569
Ga 0.8619 0.3326 0.0431
Pb 0.4806 0.5194 0.7500
Pb 0.5194 0.4806 0.2500
Cl 0.1242 0.1632 0.0318
Cl 0.1390 0.6332 0.7600
Cl 0.1632 0.1242 0.5318
Cl 0.2347 0.6595 0.3528
Cl 0.2624 0.3983 0.9646
Cl 0.3405 0.7653 0.1472
Cl 0.3668 0.8610 0.7400
Cl 0.3983 0.2624 0.4646
Cl 0.6017 0.7376 0.5354
Cl 0.6332 0.1390 0.2600
Cl 0.6595 0.2347 0.8528
Cl 0.7376 0.6017 0.0354
Cl 0.7653 0.3405 0.6472
Cl 0.8368 0.8758 0.4682
Cl 0.8610 0.3668 0.2400
Cl 0.8758 0.8368 0.9682

The following is a computed powder diffractogram of PmGa2Cl5. It was derived from a crystal structure in Alexandria, relaxed with GGA-PBE, using Cu Kα (weighted mean of Kα1 and Kα2).

Main lines, in order of rising 2θ (2θ from 5° to 70°):
12.59 deg, 7.031 Å, intensity 100; 17.57 deg, 5.048 Å, intensity 76; 21.09 deg, 4.212 Å, intensity 80; 22.39 deg, 3.970 Å, intensity 79; 23.80 deg, 3.739 Å, intensity 44; 33.89 deg, 2.645 Å, intensity 60; 34.07 deg, 2.632 Å, intensity 52; 36.87 deg, 2.438 Å, intensity 58; 39.42 deg, 2.286 Å, intensity 41; 43.25 deg, 2.092 Å, intensity 47

Structural model:
Cell lengths 8.7649, 8.7649, 10.3214 Å; angles 114.73, 114.73, 50.43 degrees
Fractional positions:
Pm 0.9996 0.0004 0.0000
Pm 0.0004 0.9996 0.5000
Ga 0.3448 0.3986 0.7642
Ga 0.3986 0.3448 0.2642
Ga 0.6014 0.6528 0.7358
Ga 0.6528 0.6014 0.2358
Cl 0.0270 0.3218 0.1620
Cl 0.1416 0.8584 0.2500
Cl 0.2473 0.6121 0.5363
Cl 0.3218 0.0270 0.6620
Cl 0.3872 0.7532 0.9639
Cl 0.6121 0.2473 0.0363
Cl 0.6788 0.9720 0.3390
Cl 0.7532 0.3872 0.4639
Cl 0.8584 0.1416 0.7500
Cl 0.9720 0.6788 0.8390

The following is a computed powder diffractogram of Pm3GaCl3. It was derived from a crystal structure in Alexandria, relaxed with GGA-PBE, using Cu Kα (weighted mean of Kα1 and Kα2).

Main lines, in order of rising 2θ (2θ from 5° to 70°):
15.29 deg, 5.794 Å, intensity 46; 21.69 deg, 4.097 Å, intensity 15; 26.65 deg, 3.345 Å, intensity 32; 30.87 deg, 2.897 Å, intensity 100; 34.62 deg, 2.591 Å, intensity 26; 44.22 deg, 2.048 Å, intensity 73; 47.05 deg, 1.931 Å, intensity 14; 52.38 deg, 1.747 Å, intensity 17; 54.90 deg, 1.672 Å, intensity 25; 64.31 deg, 1.448 Å, intensity 12

Structural model:
Cell lengths 5.7937, 5.7937, 5.7937 Å; angles 90.00, 90.00, 90.00 degrees
Fractional positions:
Pm 0.0000 0.0000 0.5000
Pm 0.0000 0.5000 0.0000
Pm 0.5000 0.0000 0.0000
Ga 0.0000 0.0000 0.0000
Cl 0.0000 0.5000 0.5000
Cl 0.5000 0.0000 0.5000
Cl 0.5000 0.5000 0.0000

The following is a computed powder diffractogram of Pr2Ga2Cl. It was derived from a crystal structure in Alexandria, relaxed with GGA-PBE, using Cu Kα (weighted mean of Kα1 and Kα2).

Main lines, in order of rising 2θ (2θ from 5° to 70°):
11.19 deg, 7.906 Å, intensity 15; 24.59 deg, 3.620 Å, intensity 21; 28.65 deg, 3.116 Å, intensity 22; 30.84 deg, 2.899 Å, intensity 100; 36.11 deg, 2.487 Å, intensity 29; 42.76 deg, 2.115 Å, intensity 54; 45.56 deg, 1.991 Å, intensity 12; 45.92 deg, 1.976 Å, intensity 12; 53.64 deg, 1.709 Å, intensity 20; 64.54 deg, 1.444 Å, intensity 25

Structural model:
Cell lengths 4.2298, 4.2298, 23.7169 Å; angles 90.00, 90.00, 120.00 degrees
Fractional positions:
Pr 0.0000 0.0000 0.0875
Pr 0.0000 0.0000 0.9125
Pr 0.3333 0.6667 0.5791
Pr 0.3333 0.6667 0.7542
Pr 0.6667 0.3333 0.2458
Pr 0.6667 0.3333 0.4209
Ga 0.0000 0.0000 0.3244
Ga 0.0000 0.0000 0.6756
Ga 0.3333 0.6667 0.3423
Ga 0.3333 0.6667 0.9911
Ga 0.6667 0.3333 0.0089
Ga 0.6667 0.3333 0.6577
Cl 0.0000 0.0000 0.5000
Cl 0.3333 0.6667 0.1667
Cl 0.6667 0.3333 0.8333

The following is a computed powder diffractogram of Rb2GaCl6. It was derived from a crystal structure in Alexandria, relaxed with GGA-PBE, using Cu Kα (weighted mean of Kα1 and Kα2).

Main lines, in order of rising 2θ (2θ from 5° to 70°):
15.04 deg, 5.893 Å, intensity 51; 24.67 deg, 3.608 Å, intensity 76; 30.30 deg, 2.950 Å, intensity 72; 30.46 deg, 2.935 Å, intensity 24; 35.17 deg, 2.552 Å, intensity 100; 43.39 deg, 2.086 Å, intensity 25; 50.49 deg, 1.808 Å, intensity 32; 50.70 deg, 1.801 Å, intensity 32; 60.08 deg, 1.540 Å, intensity 23; 63.02 deg, 1.475 Å, intensity 15

Structural model:
Cell lengths 7.2031, 7.2031, 7.2031 Å; angles 60.26, 60.26, 60.26 degrees
Fractional positions:
Rb 0.2494 0.2494 0.2494
Rb 0.7506 0.7506 0.7506
Ga 0.5000 0.5000 0.5000
Cl 0.2670 0.2670 0.7322
Cl 0.2670 0.7322 0.2670
Cl 0.2678 0.7330 0.7330
Cl 0.7322 0.2670 0.2670
Cl 0.7330 0.2678 0.7330
Cl 0.7330 0.7330 0.2678

The following is a computed powder diffractogram of RbGa3Cl. It was derived from a crystal structure in Alexandria, relaxed with GGA-PBE, using Cu Kα (weighted mean of Kα1 and Kα2).

Main lines, in order of rising 2θ (2θ from 5° to 70°):
15.88 deg, 5.581 Å, intensity 3; 22.53 deg, 3.946 Å, intensity 9; 27.69 deg, 3.222 Å, intensity 100; 32.08 deg, 2.790 Å, intensity 82; 39.56 deg, 2.278 Å, intensity 4; 46.00 deg, 1.973 Å, intensity 59; 54.54 deg, 1.683 Å, intensity 45; 57.18 deg, 1.611 Å, intensity 20; 62.25 deg, 1.491 Å, intensity 2; 67.09 deg, 1.395 Å, intensity 9

Structural model:
Cell lengths 5.5805, 5.5805, 5.5805 Å; angles 90.00, 90.00, 90.00 degrees
Fractional positions:
Rb 0.0000 0.0000 0.0000
Ga 0.0000 0.5000 0.5000
Ga 0.5000 0.0000 0.5000
Ga 0.5000 0.5000 0.0000
Cl 0.5000 0.5000 0.5000

The following is a computed powder diffractogram of Rb2Ga2Cl7. It was derived from a crystal structure in Alexandria, relaxed with GGA-PBE, using Cu Kα (weighted mean of Kα1 and Kα2).

Main lines, in order of rising 2θ (2θ from 5° to 70°):
15.47 deg, 5.727 Å, intensity 16; 19.84 deg, 4.475 Å, intensity 100; 19.93 deg, 4.455 Å, intensity 70; 21.83 deg, 4.072 Å, intensity 24; 22.15 deg, 4.014 Å, intensity 19; 22.45 deg, 3.960 Å, intensity 23; 33.19 deg, 2.699 Å, intensity 17; 39.39 deg, 2.287 Å, intensity 15; 40.27 deg, 2.239 Å, intensity 20; 57.57 deg, 1.601 Å, intensity 20

Structural model:
Cell lengths 6.3399, 16.0539, 8.2734 Å; angles 90.00, 98.91, 90.00 degrees
Fractional positions:
Rb 0.1382 0.1500 0.4224
Rb 0.1382 0.3500 0.9224
Rb 0.8618 0.6500 0.0776
Rb 0.8618 0.8500 0.5776
Ga 0.3288 0.6067 0.6417
Ga 0.3288 0.8933 0.1417
Ga 0.6712 0.1067 0.8583
Ga 0.6712 0.3933 0.3583
Cl 0.0406 0.6615 0.4807
Cl 0.0406 0.8385 0.9807
Cl 0.2183 0.5536 0.8710
Cl 0.2183 0.9464 0.3710
Cl 0.4555 0.2143 0.7613
Cl 0.4555 0.2857 0.2613
Cl 0.5000 0.0000 0.0000
Cl 0.5000 0.5000 0.5000
Cl 0.5445 0.7143 0.7387
Cl 0.5445 0.7857 0.2387
Cl 0.7817 0.0536 0.6290
Cl 0.7817 0.4464 0.1290
Cl 0.9594 0.1615 0.0193
Cl 0.9594 0.3385 0.5193